Computed X-ray powder pattern of Cs2RbAlCl6 for Cu Kα (λ = 1.5418 Å), from the GGA-PBE geometry in the Materials Project.
Intensities are scaled so that the largest is 100.

Principal peaks in the range 15 to 90 degrees two-theta, in order of falling intensity:
hkl  Position (°2θ)  I/Imax
2 2 0  22.87  100
4 0 0  32.57  65
2 2 2  28.11  48
4 4 0  46.73  40
4 2 2  40.17  39
6 4 2  63.28  28
6 2 0  52.64  28
8 4 0  77.66  14

Structural model:
a b c (Å): 10.997 10.997 10.997
angles (deg): 90.00 90.00 90.00
Space group Fm-3m (No. 225)
Inequivalent atoms, fractional coordinates:
Cs 0.250 0.250 0.250 [8 per cell]
Rb 0.000 0.000 0.000 [4 per cell]
Al 0.000 0.000 0.500 [4 per cell]
Cl 0.000 0.000 0.286 [24 per cell]


Computed X-ray powder pattern of YAlGeO5 for Cu Kα (λ = 1.5418 Å), from the GGA-PBE geometry in the Materials Project.
Intensities are scaled so that the largest is 100.

Principal peaks in the range 15 to 90 degrees two-theta, in order of falling intensity:
hkl  Position (°2θ)  I/Imax
2 1 1  30.94  100
1 2 1  29.08  79
1 3 0  34.21  23
1 3 2  47.21  21
2 1 3  55.78  20
4 2 0  54.65  19
0 0 2  31.53  19
3 3 2  59.86  19

Structural model:
a b c (Å): 7.327 8.420 5.674
angles (deg): 90.00 90.00 90.00
Space group Pbam (No. 55)
Inequivalent atoms, fractional coordinates:
Y 0.143 0.174 0.000 [4 per cell]
Al 0.000 0.500 0.250 [4 per cell]
Ge 0.120 0.856 0.500 [4 per cell]
O 0.000 0.000 0.285 [4 per cell]
O 0.106 0.713 0.253 [8 per cell]
O 0.153 0.431 0.500 [4 per cell]
O 0.161 0.447 0.000 [4 per cell]


Computed X-ray powder pattern of Lu10Al4Ge11 for Cu Kα (λ = 1.5418 Å), from the GGA-PBE geometry in the Materials Project.
Intensities are scaled so that the largest is 100.

Principal peaks in the range 15 to 90 degrees two-theta, in order of falling intensity:
hkl  Position (°2θ)  I/Imax
1 1 -7  34.11  100
1 1 3  26.50  49
4 0 2  36.53  47
1 1 8  38.63  30
3 1 -6  39.05  26
0 2 0  44.82  23
3 1 9  50.50  19
2 0 6  29.47  15

Structural model:
a b c (Å): 10.387 4.044 24.764
angles (deg): 90.00 97.06 90.00
Space group C2/m (No. 12)
Inequivalent atoms, fractional coordinates:
Lu 0.028 0.000 0.158 [4 per cell]
Lu 0.074 0.500 0.643 [4 per cell]
Lu 0.128 0.500 0.957 [4 per cell]
Lu 0.167 0.000 0.443 [4 per cell]
Lu 0.228 0.000 0.757 [4 per cell]
Al 0.099 0.000 0.300 [4 per cell]
Al 0.200 0.500 0.100 [4 per cell]
Ge 0.000 0.500 0.500 [2 per cell]
Ge 0.015 0.500 0.757 [4 per cell]
Ge 0.087 0.000 0.043 [4 per cell]
Ge 0.121 0.000 0.560 [4 per cell]
Ge 0.186 0.500 0.843 [4 per cell]
Ge 0.210 0.500 0.356 [4 per cell]


Computed X-ray powder pattern of Rb2Re3S6 for Cu Kα (λ = 1.5418 Å), from the GGA-PBE geometry in the Materials Project.
Intensities are scaled so that the largest is 100.

Principal peaks in the range 15 to 90 degrees two-theta, in order of falling intensity:
hkl  Position (°2θ)  I/Imax
4 2 -5  46.17  100
1 3 -1  28.32  88
3 3 3  38.58  71
2 0 -2  17.68  69
1 5 -1  46.48  66
4 2 -2  30.95  64
8 2 1  46.88  61
2 0 4  31.41  59

Structural model:
a b c (Å): 17.162 9.963 12.183
angles (deg): 90.00 91.35 90.00
Space group C2/c (No. 15)
Inequivalent atoms, fractional coordinates:
Rb 0.000 0.118 0.250 [4 per cell]
Rb 0.000 0.286 0.750 [4 per cell]
Rb 0.115 0.248 0.019 [8 per cell]
Re 0.157 0.345 0.478 [8 per cell]
Re 0.209 0.171 0.627 [8 per cell]
Re 0.210 0.109 0.414 [8 per cell]
S 0.032 0.466 0.430 [8 per cell]
S 0.090 0.135 0.518 [8 per cell]
S 0.152 0.075 0.797 [8 per cell]
S 0.166 0.283 0.287 [8 per cell]
S 0.166 0.397 0.671 [8 per cell]
S 0.240 0.463 0.940 [8 per cell]


Computed X-ray powder pattern of Nb2InC for Cu Kα (λ = 1.5418 Å), from the GGA-PBE geometry in the Materials Project.
Intensities are scaled so that the largest is 100.

Principal peaks in the range 15 to 90 degrees two-theta, in order of falling intensity:
hkl  Position (°2θ)  I/Imax
1 0 3  37.37  100
1 0 0  32.27  22
0 0 6  37.16  21
1 1 0  57.55  19
1 1 6  70.52  19
1 0 9  67.13  17
1 0 6  50.02  16
2 0 3  70.65  15

Structural model:
a b c (Å): 3.2029 3.2029 14.5171
angles (deg): 90.00 90.00 120.00
Space group P6_3/mmc (No. 194)
Inequivalent atoms, fractional coordinates:
Nb 0.3333 0.6667 0.0821 [4 per cell]
In 0.3333 0.6667 0.7500 [2 per cell]
C 0.0000 0.0000 0.0000 [2 per cell]


Computed X-ray powder pattern of Al2P3O13 for Cu Kα (λ = 1.5418 Å), from the GGA-PBE geometry in the Materials Project.
Intensities are scaled so that the largest is 100.

Principal peaks in the range 15 to 90 degrees two-theta, in order of falling intensity:
hkl  Position (°2θ)  I/Imax
1 1 0  15.00  100
1 0 1  19.84  97
0 2 0  16.70  59
1 1 1  21.55  39
0 3 1  27.92  38
1 2 -1  22.03  36
1 1 -1  16.55  34
2 3 -1  35.13  29

Structural model:
a b c (Å): 7.488 10.620 7.825
angles (deg): 90.00 108.42 90.00
Space group P2_1 (No. 4)
Inequivalent atoms, fractional coordinates:
Al 0.039 0.000 0.411 [2 per cell]
Al 0.406 0.234 0.986 [2 per cell]
P 0.092 0.209 0.587 [2 per cell]
P 0.336 0.024 0.230 [2 per cell]
P 0.350 0.500 0.916 [2 per cell]
O 0.010 0.584 0.393 [2 per cell]
O 0.024 0.831 0.455 [2 per cell]
O 0.149 0.169 0.418 [2 per cell]
O 0.163 0.955 0.235 [2 per cell]
O 0.191 0.533 0.749 [2 per cell]
O 0.264 0.230 0.755 [2 per cell]
O 0.310 0.150 0.137 [2 per cell]
O 0.310 0.389 0.021 [2 per cell]
O 0.382 0.814 0.851 [2 per cell]
O 0.384 0.001 0.565 [2 per cell]
O 0.432 0.611 0.036 [2 per cell]
O 0.476 0.943 0.159 [2 per cell]
O 0.477 0.036 0.452 [2 per cell]


Computed X-ray powder pattern of SrCaTbSbO6 for Cu Kα (λ = 1.5418 Å), from the GGA-PBE geometry in the Materials Project.
Intensities are scaled so that the largest is 100.

Principal peaks in the range 15 to 90 degrees two-theta, in order of falling intensity:
hkl  Position (°2θ)  I/Imax
2 2 0  30.17  100
4 2 2  53.59  40
4 0 0  43.19  33
2 0 0  21.21  29
6 4 2  87.03  21
4 4 0  62.73  20
6 2 0  71.18  18
4 2 0  48.60  12

Structural model:
a b c (Å): 8.378 8.378 8.378
angles (deg): 90.00 90.00 90.00
Space group F-43m (No. 216)
Inequivalent atoms, fractional coordinates:
Sr 0.000 0.000 0.000 [4 per cell]
Ca 0.000 0.000 0.500 [4 per cell]
Tb 0.250 0.250 0.750 [4 per cell]
Sb 0.250 0.250 0.250 [4 per cell]
O 0.013 0.250 0.250 [24 per cell]